No. 1
PmTm2: theoretical XRD peak list (Cu Kα X-rays), based on a DFT-relaxed cell (GGA-PBE, Alexandria).
Kinematic intensities with the Lorentz-polarization factor, no thermal factor.

Cell: 6.127 6.127 3.549 Å, 106.77 106.77 48.06°
Element x y z (fractional)
Pm 0.000 0.000 0.000
Tm 0.332 0.332 0.332
Tm 0.668 0.668 0.668

Principal peaks in the range 5 to 70 degrees two-theta, low angle first:
two_theta  intensity
30.95  100
35.83  34
36.00  17
51.50  6
51.69  30
61.32  14
61.42  14
61.59  14
64.43  6
64.56  6

---

No. 2
PmTm4: theoretical XRD peak list (Cu Kα X-rays), based on a DFT-relaxed cell (GGA-PBE, Alexandria).
Kinematic intensities with the Lorentz-polarization factor, no thermal factor.

Cell: 14.226 14.226 14.226 Å, 14.39 14.39 14.39°
Element x y z (fractional)
Pm 0.000 0.000 0.000
Tm 0.134 0.134 0.134
Tm 0.265 0.265 0.265
Tm 0.735 0.735 0.735
Tm 0.866 0.866 0.866

Principal peaks in the range 5 to 70 degrees two-theta, low angle first:
two_theta  intensity
29.01  35
31.78  53
32.59  100
33.64  100
51.27  43
56.45  19
58.49  22
61.59  49
62.08  16
62.72  19